Starting from a crystal structure in the Materials Project, relaxed with GGA-PBE, the powder diffractogram of Ba5Eu8Zn4O21 was computed for a wavelength of 1.5418 Å.
Peak positions follow from Bragg's law for the DFT cell and can differ from measured ones.

Principal peaks in the range 2θ = 10–90°, low angle first:
2θ = 27.4°, d = 3.260 Å, I = 39
2θ = 28.2°, d = 3.168 Å, I = 12
2θ = 30.2°, d = 2.962 Å, I = 100
2θ = 30.6°, d = 2.919 Å, I = 39
2θ = 35.2°, d = 2.549 Å, I = 29
2θ = 37.0°, d = 2.430 Å, I = 16
2θ = 41.1°, d = 2.198 Å, I = 10
2θ = 42.1°, d = 2.147 Å, I = 16
2θ = 45.0°, d = 2.013 Å, I = 18
2θ = 46.2°, d = 1.965 Å, I = 10
2θ = 48.8°, d = 1.868 Å, I = 13
2θ = 54.2°, d = 1.693 Å, I = 19

Structure:
a = 10.436 Å, b = 10.436 Å, c = 10.436 Å
α = 94.49°, β = 94.49°, γ = 147.51°
Fractional coordinates of all 38 atoms:
Ba  0.000  0.000  0.000
Ba  0.138  0.532  0.670
Ba  0.468  0.138  0.606
Ba  0.532  0.862  0.394
Ba  0.862  0.468  0.330
Eu  0.166  0.250  0.416
Eu  0.250  0.834  0.085
Eu  0.358  0.410  0.769
Eu  0.410  0.642  0.052
Eu  0.590  0.358  0.948
Eu  0.642  0.590  0.231
Eu  0.750  0.166  0.915
Eu  0.834  0.750  0.584
Zn  0.042  0.747  0.789
Zn  0.253  0.042  0.295
Zn  0.747  0.958  0.705
Zn  0.958  0.253  0.211
O  0.017  0.903  0.407
O  0.031  0.375  0.406
O  0.066  0.290  0.865
O  0.097  0.504  0.115
O  0.201  0.066  0.776
O  0.290  0.425  0.224
O  0.375  0.969  0.344
O  0.390  0.983  0.885
O  0.425  0.201  0.135
O  0.496  0.610  0.593
O  0.500  0.500  0.000
O  0.504  0.390  0.407
O  0.575  0.799  0.865
O  0.610  0.017  0.115
O  0.625  0.031  0.656
O  0.710  0.575  0.776
O  0.799  0.934  0.224
O  0.903  0.496  0.885
O  0.934  0.710  0.135
O  0.969  0.625  0.594
O  0.983  0.097  0.593

Starting from a crystal structure in the Materials Project, relaxed with GGA-PBE, the powder diffractogram of SrCaSmBiO6 was computed for a wavelength of 1.5418 Å.
Peak positions follow from Bragg's law for the DFT cell and can differ from measured ones.

Principal peaks in the range 2θ = 10–90°, low angle first:
2θ = 20.8°, d = 4.269 Å, I = 23
2θ = 20.9°, d = 4.252 Å, I = 11
2θ = 29.6°, d = 3.014 Å, I = 100
2θ = 42.3°, d = 2.137 Å, I = 9
2θ = 42.4°, d = 2.131 Å, I = 9
2θ = 42.5°, d = 2.126 Å, I = 8
2θ = 47.6°, d = 1.909 Å, I = 8
2θ = 47.8°, d = 1.904 Å, I = 8
2θ = 52.5°, d = 1.742 Å, I = 31
2θ = 52.7°, d = 1.738 Å, I = 16
2θ = 61.5°, d = 1.508 Å, I = 10
2θ = 85.3°, d = 1.138 Å, I = 12

Structure:
a = 8.504 Å, b = 8.525 Å, c = 8.549 Å
α = 90.00°, β = 90.00°, γ = 90.00°
Fractional coordinates of all 40 atoms:
Sr  0.250  0.250  0.250
Sr  0.250  0.250  0.750
Sr  0.750  0.750  0.250
Sr  0.750  0.750  0.750
Ca  0.250  0.750  0.250
Ca  0.250  0.750  0.750
Ca  0.750  0.250  0.250
Ca  0.750  0.250  0.750
Sm  0.000  0.000  0.000
Sm  0.000  0.500  0.500
Sm  0.500  0.000  0.500
Sm  0.500  0.500  0.000
Bi  0.000  0.000  0.500
Bi  0.000  0.500  0.000
Bi  0.500  0.000  0.000
Bi  0.500  0.500  0.500
O  0.061  0.241  0.482
O  0.061  0.259  0.018
O  0.063  0.538  0.240
O  0.063  0.962  0.260
O  0.239  0.552  0.936
O  0.239  0.948  0.564
O  0.261  0.552  0.564
O  0.261  0.948  0.936
O  0.437  0.538  0.260
O  0.437  0.962  0.240
O  0.439  0.241  0.018
O  0.439  0.259  0.482
O  0.561  0.741  0.518
O  0.561  0.759  0.982
O  0.563  0.038  0.760
O  0.563  0.462  0.740
O  0.739  0.052  0.064
O  0.739  0.448  0.436
O  0.761  0.052  0.436
O  0.761  0.448  0.064
O  0.937  0.038  0.740
O  0.937  0.462  0.760
O  0.939  0.741  0.982
O  0.939  0.759  0.518

Starting from a crystal structure in the Materials Project, relaxed with GGA-PBE, the powder diffractogram of KPO4 was computed for a wavelength of 1.5418 Å.
Peak positions follow from Bragg's law for the DFT cell and can differ from measured ones.

Principal peaks in the range 2θ = 10–90°, low angle first:
2θ = 23.0°, d = 3.863 Å, I = 34
2θ = 23.8°, d = 3.739 Å, I = 53
2θ = 23.9°, d = 3.722 Å, I = 88
2θ = 26.0°, d = 3.429 Å, I = 23
2θ = 26.5°, d = 3.359 Å, I = 15
2θ = 27.2°, d = 3.280 Å, I = 100
2θ = 29.1°, d = 3.064 Å, I = 21
2θ = 29.3°, d = 3.049 Å, I = 19
2θ = 33.4°, d = 2.681 Å, I = 12
2θ = 34.3°, d = 2.616 Å, I = 20
2θ = 36.5°, d = 2.462 Å, I = 31
2θ = 44.0°, d = 2.056 Å, I = 17

Structure:
a = 7.358 Å, b = 14.890 Å, c = 7.730 Å
α = 90.00°, β = 91.69°, γ = 90.00°
Fractional coordinates of all 48 atoms:
K  0.093  0.000  0.365
K  0.207  0.516  0.136
K  0.329  0.733  0.776
K  0.365  0.239  0.726
K  0.635  0.739  0.274
K  0.671  0.233  0.224
K  0.793  0.016  0.864
K  0.907  0.500  0.635
P  0.131  0.749  0.276
P  0.179  0.253  0.231
P  0.286  0.987  0.864
P  0.405  0.493  0.636
P  0.595  0.993  0.364
P  0.714  0.487  0.136
P  0.821  0.753  0.769
P  0.869  0.249  0.724
O  0.006  0.828  0.220
O  0.022  0.666  0.337
O  0.040  0.188  0.304
O  0.085  0.336  0.146
O  0.159  0.953  0.715
O  0.170  0.028  0.007
O  0.243  0.790  0.430
O  0.253  0.714  0.134
O  0.276  0.463  0.486
O  0.288  0.209  0.086
O  0.295  0.534  0.783
O  0.316  0.284  0.375
O  0.395  0.905  0.932
O  0.418  0.059  0.800
O  0.468  0.067  0.435
O  0.487  0.912  0.290
O  0.513  0.412  0.710
O  0.532  0.567  0.565
O  0.582  0.559  0.200
O  0.605  0.405  0.068
O  0.684  0.784  0.625
O  0.705  0.034  0.217
O  0.712  0.709  0.914
O  0.724  0.963  0.514
O  0.747  0.214  0.866
O  0.757  0.290  0.570
O  0.830  0.528  0.993
O  0.841  0.453  0.285
O  0.915  0.836  0.854
O  0.960  0.688  0.696
O  0.978  0.166  0.663
O  0.994  0.328  0.780

Starting from a crystal structure in the Materials Project, relaxed with GGA-PBE, the powder diffractogram of MgAlPO5 was computed for a wavelength of 1.5418 Å.
Peak positions follow from Bragg's law for the DFT cell and can differ from measured ones.

Principal peaks in the range 2θ = 10–90°, low angle first:
2θ = 12.3°, d = 7.193 Å, I = 42
2θ = 18.7°, d = 4.739 Å, I = 57
2θ = 22.4°, d = 3.975 Å, I = 31
2θ = 23.9°, d = 3.730 Å, I = 58
2θ = 26.2°, d = 3.402 Å, I = 28
2θ = 27.0°, d = 3.301 Å, I = 100
2θ = 28.4°, d = 3.141 Å, I = 39
2θ = 31.1°, d = 2.879 Å, I = 76
2θ = 34.8°, d = 2.578 Å, I = 66
2θ = 40.5°, d = 2.230 Å, I = 21
2θ = 42.8°, d = 2.115 Å, I = 15
2θ = 60.7°, d = 1.527 Å, I = 21

Structure:
a = 7.194 Å, b = 10.475 Å, c = 5.314 Å
α = 90.00°, β = 90.64°, γ = 90.00°
Fractional coordinates of all 32 atoms:
Mg  0.021  0.143  0.096
Mg  0.021  0.357  0.596
Mg  0.979  0.643  0.404
Mg  0.979  0.857  0.904
Al  0.358  0.170  0.668
Al  0.358  0.330  0.168
Al  0.642  0.670  0.832
Al  0.642  0.830  0.332
P  0.222  0.593  0.912
P  0.222  0.907  0.412
P  0.778  0.093  0.588
P  0.778  0.407  0.088
O  0.091  0.684  0.056
O  0.091  0.816  0.556
O  0.120  0.540  0.676
O  0.120  0.960  0.176
O  0.268  0.213  0.961
O  0.268  0.287  0.461
O  0.277  0.016  0.592
O  0.277  0.484  0.092
O  0.398  0.666  0.832
O  0.398  0.834  0.332
O  0.602  0.166  0.668
O  0.602  0.334  0.168
O  0.723  0.516  0.908
O  0.723  0.984  0.408
O  0.732  0.713  0.539
O  0.732  0.787  0.039
O  0.880  0.040  0.824
O  0.880  0.460  0.324
O  0.909  0.184  0.444
O  0.909  0.316  0.944

Starting from a crystal structure in the Materials Project, relaxed with GGA-PBE, the powder diffractogram of MgScS3 was computed for a wavelength of 1.5418 Å.
Peak positions follow from Bragg's law for the DFT cell and can differ from measured ones.

Principal peaks in the range 2θ = 10–90°, low angle first:
2θ = 18.8°, d = 4.713 Å, I = 29
2θ = 25.8°, d = 3.451 Å, I = 21
2θ = 31.7°, d = 2.825 Å, I = 100
2θ = 38.2°, d = 2.356 Å, I = 15
2θ = 41.7°, d = 2.167 Å, I = 73
2θ = 47.8°, d = 1.903 Å, I = 12
2θ = 48.9°, d = 1.862 Å, I = 47
2θ = 55.0°, d = 1.669 Å, I = 18
2θ = 59.5°, d = 1.555 Å, I = 12
2θ = 66.2°, d = 1.412 Å, I = 16
2θ = 84.2°, d = 1.150 Å, I = 13
2θ = 86.5°, d = 1.125 Å, I = 14

Structure:
a = 6.935 Å, b = 6.935 Å, c = 6.935 Å
α = 55.43°, β = 55.43°, γ = 55.43°
Fractional coordinates of all 10 atoms:
Mg  0.150  0.150  0.150
Mg  0.850  0.850  0.850
Sc  0.341  0.341  0.341
Sc  0.659  0.659  0.659
S  0.068  0.743  0.440
S  0.257  0.560  0.932
S  0.440  0.068  0.743
S  0.560  0.932  0.257
S  0.743  0.440  0.068
S  0.932  0.257  0.560

Starting from a crystal structure in the Materials Project, relaxed with GGA-PBE, the powder diffractogram of TiSCl6O was computed for a wavelength of 1.5418 Å.
Peak positions follow from Bragg's law for the DFT cell and can differ from measured ones.

Principal peaks in the range 2θ = 10–90°, low angle first:
2θ = 12.4°, d = 7.114 Å, I = 28
2θ = 12.6°, d = 7.002 Å, I = 28
2θ = 14.8°, d = 5.987 Å, I = 38
2θ = 15.7°, d = 5.634 Å, I = 100
2θ = 17.6°, d = 5.048 Å, I = 35
2θ = 24.0°, d = 3.715 Å, I = 27
2θ = 24.7°, d = 3.608 Å, I = 66
2θ = 26.9°, d = 3.312 Å, I = 27
2θ = 29.6°, d = 3.017 Å, I = 30
2θ = 29.9°, d = 2.992 Å, I = 46
2θ = 31.8°, d = 2.810 Å, I = 37
2θ = 34.9°, d = 2.573 Å, I = 69

Structure:
a = 6.632 Å, b = 8.189 Å, c = 11.225 Å
α = 108.50°, β = 91.38°, γ = 113.72°
Fractional coordinates of all 18 atoms:
Ti  0.070  0.233  0.142
Ti  0.930  0.767  0.858
S  0.355  0.024  0.300
S  0.645  0.976  0.700
Cl  0.034  0.735  0.667
Cl  0.061  0.826  0.327
Cl  0.158  0.681  0.939
Cl  0.195  0.109  0.940
Cl  0.388  0.499  0.192
Cl  0.453  0.229  0.483
Cl  0.547  0.771  0.517
Cl  0.612  0.501  0.808
Cl  0.805  0.891  0.060
Cl  0.842  0.319  0.061
Cl  0.939  0.174  0.673
Cl  0.966  0.265  0.333
O  0.296  0.105  0.213
O  0.704  0.895  0.787

Starting from a crystal structure in the Materials Project, relaxed with GGA-PBE, the powder diffractogram of Sm4Tm4MgO12 was computed for a wavelength of 1.5418 Å.
Peak positions follow from Bragg's law for the DFT cell and can differ from measured ones.

Principal peaks in the range 2θ = 10–90°, low angle first:
2θ = 26.4°, d = 3.380 Å, I = 60
2θ = 29.3°, d = 3.045 Å, I = 100
2θ = 29.5°, d = 3.024 Å, I = 48
2θ = 30.3°, d = 2.945 Å, I = 87
2θ = 31.0°, d = 2.888 Å, I = 67
2θ = 31.1°, d = 2.879 Å, I = 85
2θ = 33.8°, d = 2.650 Å, I = 32
2θ = 40.5°, d = 2.225 Å, I = 27
2θ = 41.4°, d = 2.179 Å, I = 28
2θ = 44.8°, d = 2.025 Å, I = 31
2θ = 53.0°, d = 1.729 Å, I = 20
2θ = 53.2°, d = 1.722 Å, I = 19

Structure:
a = 5.843 Å, b = 6.088 Å, c = 9.020 Å
α = 84.48°, β = 82.16°, γ = 85.60°
Fractional coordinates of all 21 atoms:
Sm  0.000  0.000  0.000
Sm  0.036  0.932  0.539
Sm  0.493  0.430  0.545
Sm  0.572  0.617  0.110
Tm  0.032  0.510  0.310
Tm  0.494  0.894  0.760
Tm  0.532  0.053  0.311
Tm  0.943  0.470  0.774
Mg  0.447  0.281  0.927
O  0.193  0.173  0.764
O  0.220  0.230  0.419
O  0.248  0.690  0.688
O  0.251  0.437  0.095
O  0.305  0.748  0.354
O  0.393  0.960  0.010
O  0.635  0.034  0.537
O  0.696  0.369  0.304
O  0.771  0.311  0.992
O  0.808  0.781  0.869
O  0.823  0.830  0.218
O  0.853  0.585  0.548

Starting from a crystal structure in the Materials Project, relaxed with GGA-PBE, the powder diffractogram of LiSnP4O12 was computed for a wavelength of 1.5418 Å.
Peak positions follow from Bragg's law for the DFT cell and can differ from measured ones.

Principal peaks in the range 2θ = 10–90°, low angle first:
2θ = 15.2°, d = 5.827 Å, I = 100
2θ = 16.2°, d = 5.483 Å, I = 43
2θ = 17.0°, d = 5.226 Å, I = 76
2θ = 17.1°, d = 5.180 Å, I = 53
2θ = 23.2°, d = 3.832 Å, I = 40
2θ = 26.5°, d = 3.368 Å, I = 34
2θ = 26.6°, d = 3.356 Å, I = 85
2θ = 28.2°, d = 3.159 Å, I = 39
2θ = 29.7°, d = 3.011 Å, I = 51
2θ = 29.9°, d = 2.993 Å, I = 31
2θ = 30.7°, d = 2.914 Å, I = 30
2θ = 32.6°, d = 2.744 Å, I = 53

Structure:
a = 7.006 Å, b = 8.811 Å, c = 7.770 Å
α = 90.00°, β = 90.52°, γ = 90.00°
Fractional coordinates of all 36 atoms:
Li  0.204  0.000  0.139
Li  0.796  0.500  0.861
Sn  0.262  0.663  0.727
Sn  0.738  0.163  0.273
P  0.057  0.002  0.594
P  0.100  0.368  0.085
P  0.415  0.194  0.613
P  0.493  0.976  0.906
P  0.507  0.476  0.094
P  0.585  0.694  0.387
P  0.900  0.868  0.915
P  0.943  0.502  0.406
O  0.041  0.415  0.909
O  0.042  0.501  0.219
O  0.045  0.213  0.155
O  0.096  0.531  0.539
O  0.173  0.860  0.566
O  0.188  0.149  0.614
O  0.318  0.875  0.906
O  0.327  0.368  0.100
O  0.444  0.340  0.701
O  0.480  0.167  0.429
O  0.486  0.556  0.276
O  0.492  0.082  0.058
O  0.508  0.582  0.942
O  0.514  0.056  0.724
O  0.520  0.667  0.571
O  0.556  0.840  0.299
O  0.673  0.868  0.900
O  0.682  0.375  0.094
O  0.812  0.649  0.386
O  0.827  0.360  0.434
O  0.904  0.031  0.461
O  0.955  0.713  0.845
O  0.958  0.001  0.781
O  0.959  0.915  0.091

Repeat the fourth record exactly.
Starting from a crystal structure in the Materials Project, relaxed with GGA-PBE, the powder diffractogram of MgAlPO5 was computed for a wavelength of 1.5418 Å.
Peak positions follow from Bragg's law for the DFT cell and can differ from measured ones.

Principal peaks in the range 2θ = 10–90°, low angle first:
2θ = 12.3°, d = 7.193 Å, I = 42
2θ = 18.7°, d = 4.739 Å, I = 57
2θ = 22.4°, d = 3.975 Å, I = 31
2θ = 23.9°, d = 3.730 Å, I = 58
2θ = 26.2°, d = 3.402 Å, I = 28
2θ = 27.0°, d = 3.301 Å, I = 100
2θ = 28.4°, d = 3.141 Å, I = 39
2θ = 31.1°, d = 2.879 Å, I = 76
2θ = 34.8°, d = 2.578 Å, I = 66
2θ = 40.5°, d = 2.230 Å, I = 21
2θ = 42.8°, d = 2.115 Å, I = 15
2θ = 60.7°, d = 1.527 Å, I = 21

Structure:
a = 7.194 Å, b = 10.475 Å, c = 5.314 Å
α = 90.00°, β = 90.64°, γ = 90.00°
Fractional coordinates of all 32 atoms:
Mg  0.021  0.143  0.096
Mg  0.021  0.357  0.596
Mg  0.979  0.643  0.404
Mg  0.979  0.857  0.904
Al  0.358  0.170  0.668
Al  0.358  0.330  0.168
Al  0.642  0.670  0.832
Al  0.642  0.830  0.332
P  0.222  0.593  0.912
P  0.222  0.907  0.412
P  0.778  0.093  0.588
P  0.778  0.407  0.088
O  0.091  0.684  0.056
O  0.091  0.816  0.556
O  0.120  0.540  0.676
O  0.120  0.960  0.176
O  0.268  0.213  0.961
O  0.268  0.287  0.461
O  0.277  0.016  0.592
O  0.277  0.484  0.092
O  0.398  0.666  0.832
O  0.398  0.834  0.332
O  0.602  0.166  0.668
O  0.602  0.334  0.168
O  0.723  0.516  0.908
O  0.723  0.984  0.408
O  0.732  0.713  0.539
O  0.732  0.787  0.039
O  0.880  0.040  0.824
O  0.880  0.460  0.324
O  0.909  0.184  0.444
O  0.909  0.316  0.944